No. 1
For RbBePO4, a structure optimized by DFT (GGA-PBE) gives the calculated XRD peak list in this record (Cu Ka).
Neutral-atom scattering factors, no anomalous dispersion.

Atomic structure:
```
data_RbBePO4
_space_group_name_H-M_alt 'P 1'
_space_group_IT_number 1
_space_group_name_Hall 'P 1'
_cell_length_a 8.6500
_cell_length_b 8.7391
_cell_length_c 5.0625
_cell_angle_alpha 90.00
_cell_angle_beta 90.00
_cell_angle_gamma 90.00
loop_
_atom_site_label
_atom_site_fract_x
_atom_site_fract_y
_atom_site_fract_z
_atom_site_occupancy
Rb1 0.0005 0.2079 0.0000 1
Rb2 0.4995 0.7079 0.5000 1
Rb3 0.5005 0.2921 0.0000 1
Rb4 0.9995 0.7921 0.5000 1
Be1 0.1777 0.4071 0.4956 1
Be2 0.3223 0.9071 0.9956 1
Be3 0.6777 0.0929 0.4956 1
Be4 0.8223 0.5929 0.9956 1
P1 0.1863 0.5803 0.9946 1
P2 0.3137 0.0803 0.4946 1
P3 0.6863 0.9197 0.9946 1
P4 0.8137 0.4197 0.4946 1
O1 0.0101 0.5977 0.9908 1
O2 0.2391 0.2353 0.4235 1
O3 0.2391 0.4588 0.7887 1
O4 0.2429 0.5283 0.2716 1
O5 0.2571 0.0283 0.7716 1
O6 0.2609 0.7353 0.9235 1
O7 0.2609 0.9588 0.2887 1
O8 0.4899 0.0977 0.4908 1
O9 0.5101 0.9023 0.9908 1
O10 0.7391 0.0412 0.7887 1
O11 0.7391 0.2647 0.4235 1
O12 0.7429 0.9717 0.2716 1
O13 0.7571 0.4717 0.7716 1
O14 0.7609 0.5412 0.2887 1
O15 0.7609 0.7647 0.9235 1
O16 0.9899 0.4023 0.4908 1
```

Main lines, low angle first (15 to 90 degrees two-theta):
20.3°, I 167; 28.9°, I 364; 29.0°, I 1000; 35.5°, I 337; 41.4°, I 280; 41.8°, I 131



No. 2
For SrBe2P2O8, a structure optimized by DFT (GGA-PBE) gives the calculated XRD peak list in this record (Cu Ka).
Neutral-atom scattering factors, no anomalous dispersion.

Atomic structure:
```
data_SrBe2P2O8
_space_group_name_H-M_alt 'P 1'
_space_group_IT_number 1
_space_group_name_Hall 'P 1'
_cell_length_a 8.0770
_cell_length_b 9.0791
_cell_length_c 8.5108
_cell_angle_alpha 90.00
_cell_angle_beta 90.15
_cell_angle_gamma 90.00
loop_
_atom_site_label
_atom_site_fract_x
_atom_site_fract_y
_atom_site_fract_z
_atom_site_occupancy
Sr1 0.2443 0.0874 0.3909 1
Sr2 0.2443 0.4126 0.8909 1
Sr3 0.7557 0.5874 0.1091 1
Sr4 0.7557 0.9126 0.6091 1
Be1 0.0714 0.0813 0.7736 1
Be2 0.0714 0.4187 0.2736 1
Be3 0.4263 0.6931 0.4366 1
Be4 0.4263 0.8069 0.9366 1
Be5 0.5737 0.1931 0.0634 1
Be6 0.5737 0.3069 0.5634 1
Be7 0.9286 0.5813 0.7264 1
Be8 0.9286 0.9187 0.2264 1
P1 0.0637 0.6955 0.4332 1
P2 0.0637 0.8045 0.9332 1
P3 0.4377 0.0857 0.7690 1
P4 0.4377 0.4143 0.2690 1
P5 0.5623 0.5857 0.7310 1
P6 0.5623 0.9143 0.2310 1
P7 0.9363 0.1955 0.0668 1
P8 0.9363 0.3045 0.5668 1
O1 0.0095 0.5870 0.3009 1
O2 0.0095 0.9130 0.8009 1
O3 0.0475 0.6429 0.8710 1
O4 0.0475 0.8571 0.3710 1
O5 0.0613 0.1819 0.9294 1
O6 0.0613 0.3181 0.4294 1
O7 0.2394 0.6641 0.4900 1
O8 0.2394 0.8359 0.9900 1
O9 0.2591 0.0929 0.6997 1
O10 0.2591 0.4071 0.1997 1
O11 0.4446 0.1873 0.9138 1
O12 0.4446 0.3127 0.4138 1
O13 0.4448 0.6383 0.8645 1
O14 0.4448 0.8617 0.3645 1
O15 0.4941 0.5727 0.3066 1
O16 0.4941 0.9273 0.8066 1
O17 0.5059 0.0727 0.1934 1
O18 0.5059 0.4273 0.6934 1
O19 0.5552 0.1383 0.6355 1
O20 0.5552 0.3617 0.1355 1
O21 0.5554 0.6873 0.5862 1
O22 0.5554 0.8127 0.0862 1
O23 0.7409 0.5929 0.8003 1
O24 0.7409 0.9071 0.3003 1
O25 0.7606 0.1641 0.0100 1
O26 0.7606 0.3359 0.5100 1
O27 0.9387 0.6819 0.5706 1
O28 0.9387 0.8181 0.0706 1
O29 0.9525 0.1429 0.6290 1
O30 0.9525 0.3571 0.1290 1
O31 0.9905 0.0870 0.1991 1
O32 0.9905 0.4130 0.6991 1
```

Main lines, low angle first (15 to 90 degrees two-theta):
23.6°, I 1000; 24.8°, I 741; 26.3°, I 535; 31.5°, I 560; 34.9°, I 305; 40.4°, I 294